Entry 1:
Starting from DFT lattice parameters and positions (GGA-PBE), the PXRD pattern of Bi2As2PdPt7 was simulated for Cu Ka.

Structure:
Lattice parameters (Å, degrees): 3.976 3.976 15.530 97.30 97.30 89.99
Positions (direct):
Bi  0.211  0.211  0.423
Bi  0.789  0.789  0.577
As  0.385  0.385  0.768
As  0.615  0.615  0.232
Pd  0.000  0.000  0.000
Pt  0.066  0.566  0.135
Pt  0.304  0.304  0.608
Pt  0.434  0.934  0.865
Pt  0.500  0.500  0.000
Pt  0.566  0.066  0.135
Pt  0.696  0.696  0.392
Pt  0.934  0.434  0.865

Peak list (10 most intense, 10° ≤ 2θ ≤ 80°, low angle first)
2θ/deg	I (rel.)
11.6	411
23.3	407
32.4	814
34.0	303
36.5	819
39.8	298
43.8	1000
45.6	891
63.3	279
66.5	293

=====

Entry 2:
Starting from DFT lattice parameters and positions (GGA-PBE), the PXRD pattern of YAg2HgAs was simulated for Cu Ka.

Structure:
Lattice parameters (Å, degrees): 5.063 5.063 5.711 90.00 90.00 90.00
Positions (direct):
Y  0.000  0.000  0.000
Ag  0.000  0.500  0.500
Ag  0.500  0.000  0.500
Hg  0.000  0.000  0.500
As  0.500  0.500  0.000

Peak list (10 most intense, 10° ≤ 2θ ≤ 80°, low angle first)
2θ/deg	I (rel.)
15.5	672
17.5	722
23.5	553
29.4	356
31.3	697
35.5	1000
38.9	293
48.0	836
51.0	348
61.1	400

=====

Entry 3:
Starting from DFT lattice parameters and positions (GGA-PBE), the PXRD pattern of PrP4Pd12 was simulated for Cu Ka.

Structure:
Lattice parameters (Å, degrees): 7.252 7.252 7.252 109.47 109.47 109.47
Positions (direct):
Pr  0.000  0.000  0.000
P  0.000  0.000  0.500
P  0.000  0.500  0.000
P  0.500  0.000  0.000
P  0.500  0.500  0.500
Pd  0.164  0.337  0.827
Pd  0.173  0.510  0.337
Pd  0.173  0.836  0.663
Pd  0.337  0.173  0.510
Pd  0.337  0.827  0.164
Pd  0.490  0.663  0.827
Pd  0.510  0.337  0.173
Pd  0.663  0.173  0.836
Pd  0.663  0.827  0.490
Pd  0.827  0.164  0.337
Pd  0.827  0.490  0.663
Pd  0.836  0.663  0.173

Peak list (10 most intense, 10° ≤ 2θ ≤ 80°, low angle first)
2θ/deg	I (rel.)
33.8	1000
40.3	502
48.6	63
51.2	61
53.6	165
56.0	198
64.9	156
67.1	130
69.1	116
77.3	170

=====

Copy entry 3 word for word.
Starting from DFT lattice parameters and positions (GGA-PBE), the PXRD pattern of PrP4Pd12 was simulated for Cu Ka.

Structure:
Lattice parameters (Å, degrees): 7.252 7.252 7.252 109.47 109.47 109.47
Positions (direct):
Pr  0.000  0.000  0.000
P  0.000  0.000  0.500
P  0.000  0.500  0.000
P  0.500  0.000  0.000
P  0.500  0.500  0.500
Pd  0.164  0.337  0.827
Pd  0.173  0.510  0.337
Pd  0.173  0.836  0.663
Pd  0.337  0.173  0.510
Pd  0.337  0.827  0.164
Pd  0.490  0.663  0.827
Pd  0.510  0.337  0.173
Pd  0.663  0.173  0.836
Pd  0.663  0.827  0.490
Pd  0.827  0.164  0.337
Pd  0.827  0.490  0.663
Pd  0.836  0.663  0.173

Peak list (10 most intense, 10° ≤ 2θ ≤ 80°, low angle first)
2θ/deg	I (rel.)
33.8	1000
40.3	502
48.6	63
51.2	61
53.6	165
56.0	198
64.9	156
67.1	130
69.1	116
77.3	170